For Zr2NiSe4, the PBE geometry in the Materials Project gives the theoretical X-ray diffraction stick pattern in this record (λ = 1.5418 Å (Cu Kα)).
No peak broadening, texture or thermal motion is included.

Cell and atoms:
```
data_Zr2NiSe4
_space_group_name_H-M_alt 'P 1'
_space_group_IT_number 1
_cell_length_a 7.100
_cell_length_b 7.100
_cell_length_c 6.449
_cell_angle_alpha 116.61
_cell_angle_beta 116.61
_cell_angle_gamma 30.59
loop_
_space_group_symop_operation_xyz
'x,y,z'
loop_
_atom_site_label
_atom_site_type_symbol
_atom_site_fract_x
_atom_site_fract_y
_atom_site_fract_z
Zr1 Zr 0.248 0.248 0.250
Zr2 Zr 0.752 0.752 0.750
Ni1 Ni 0.500 0.500 0.500
Se1 Se 0.114 0.114 0.781
Se2 Se 0.387 0.387 0.716
Se3 Se 0.613 0.613 0.284
Se4 Se 0.886 0.886 0.219
```

Most intense lines, 2θ = 10–90°, low angle first:
| two_theta | I/Imax |
| --- | --- |
| 31.34 | 1000 |
| 40.69 | 497 |
| 40.84 | 175 |
| 41.01 | 203 |
| 48.61 | 167 |
| 48.85 | 327 |
| 58.98 | 98 |
| 65.41 | 143 |